No. 1
The following is a computed X-ray diffraction stick pattern of Ta3Nb3Ru. It was derived from a structure optimized by DFT (GGA-PBE), using Cu Kα.

Principal peaks in the range 2θ from 10° to 90°, by intensity:
| d [Å] | I (rel.) |
| --- | --- |
| 2.291 | 100.0 |
| 2.331 | 30.4 |
| 6.862 | 25.2 |
| 1.338 | 17.4 |
| 2.050 | 12.6 |
| 2.809 | 11.9 |
| 2.680 | 11.6 |
| 1.539 | 10.8 |
| 1.716 | 10.0 |
| 1.382 | 9.7 |

Crystal structure
a b c (Å): 7.993 7.993 4.661
angles (deg): 90.00 90.00 118.30
Atoms (fractional coordinates):
Ta 0.053 0.947 0.750
Ta 0.228 0.358 0.750
Ta 0.358 0.228 0.250
Ta 0.642 0.772 0.750
Ta 0.772 0.642 0.250
Ta 0.947 0.053 0.250
Nb 0.047 0.423 0.250
Nb 0.188 0.812 0.250
Nb 0.423 0.047 0.750
Nb 0.577 0.953 0.250
Nb 0.812 0.188 0.750
Nb 0.953 0.577 0.750
Ru 0.416 0.584 0.250
Ru 0.584 0.416 0.750

***

No. 2
The following is a computed X-ray diffraction stick pattern of NaTm2Cd9. It was derived from a structure optimized by DFT (GGA-PBE), using Cu Kα.

Principal peaks in the range 2θ from 10° to 90°, by intensity:
| d [Å] | I (rel.) |
| --- | --- |
| 2.628 | 100.0 |
| 2.271 | 32.8 |
| 1.370 | 24.9 |
| 1.611 | 21.7 |
| 2.285 | 16.7 |
| 1.376 | 12.5 |
| 1.606 | 11.1 |
| 1.314 | 10.9 |
| 4.312 | 3.7 |
| 1.136 | 3.6 |

Crystal structure
a b c (Å): 4.542 4.542 13.711
angles (deg): 90.00 90.00 90.00
Atoms (fractional coordinates):
Na 0.000 0.000 0.000
Tm 0.000 0.000 0.331
Tm 0.000 0.000 0.669
Cd 0.000 0.500 0.166
Cd 0.000 0.500 0.500
Cd 0.000 0.500 0.834
Cd 0.500 0.000 0.166
Cd 0.500 0.000 0.500
Cd 0.500 0.000 0.834
Cd 0.500 0.500 0.000
Cd 0.500 0.500 0.330
Cd 0.500 0.500 0.670

***

No. 3
The following is a computed X-ray diffraction stick pattern of Nb6AlSn. It was derived from a structure optimized by DFT (GGA-PBE), using Cu Kα.

Principal peaks in the range 2θ from 10° to 90°, by intensity:
| d [Å] | I (rel.) |
| --- | --- |
| 2.357 | 100.0 |
| 2.152 | 57.5 |
| 1.409 | 29.7 |
| 2.635 | 26.1 |
| 1.462 | 22.5 |
| 1.150 | 19.4 |
| 1.318 | 12.9 |
| 1.521 | 9.3 |
| 5.270 | 8.8 |
| 1.179 | 8.3 |

Crystal structure
a b c (Å): 5.270 5.270 5.270
angles (deg): 90.00 90.00 90.00
Atoms (fractional coordinates):
Nb 0.000 0.244 0.500
Nb 0.000 0.756 0.500
Nb 0.244 0.500 0.000
Nb 0.500 0.000 0.244
Nb 0.500 0.000 0.756
Nb 0.756 0.500 0.000
Al 0.000 0.000 0.000
Sn 0.500 0.500 0.500

***

No. 4
The following is a computed X-ray diffraction stick pattern of SrZn3H9. It was derived from a structure optimized by DFT (GGA-PBE), using Cu Kα.

Principal peaks in the range 2θ from 10° to 90°, by intensity:
| d [Å] | I (rel.) |
| --- | --- |
| 5.764 | 100.0 |
| 3.595 | 76.9 |
| 3.050 | 40.4 |
| 2.736 | 33.7 |
| 2.177 | 30.8 |
| 1.985 | 29.0 |
| 2.557 | 27.8 |
| 2.381 | 26.1 |
| 3.498 | 23.3 |
| 6.814 | 21.6 |

Crystal structure
a b c (Å): 7.146 7.146 7.190
angles (deg): 90.00 90.00 107.53
Atoms (fractional coordinates):
Sr 0.141 0.141 0.000
Sr 0.859 0.859 0.500
Zn 0.244 0.244 0.500
Zn 0.380 0.593 0.975
Zn 0.407 0.620 0.525
Zn 0.593 0.380 0.025
Zn 0.620 0.407 0.475
Zn 0.756 0.756 0.000
H 0.096 0.139 0.672
H 0.139 0.096 0.328
H 0.150 0.524 0.014
H 0.152 0.780 0.785
H 0.187 0.467 0.466
H 0.220 0.848 0.715
H 0.467 0.187 0.534
H 0.469 0.531 0.750
H 0.476 0.850 0.486
H 0.524 0.150 0.986
H 0.531 0.469 0.250
H 0.533 0.813 0.034
H 0.780 0.152 0.215
H 0.813 0.533 0.966
H 0.848 0.220 0.285
H 0.850 0.476 0.514
H 0.861 0.904 0.828
H 0.904 0.861 0.172

***

No. 5
The following is a computed X-ray diffraction stick pattern of Tb3SmAu4. It was derived from a structure optimized by DFT (GGA-PBE), using Cu Kα.

Principal peaks in the range 2θ from 10° to 90°, by intensity:
| d [Å] | I (rel.) |
| --- | --- |
| 2.568 | 100.0 |
| 1.482 | 28.0 |
| 1.816 | 18.0 |
| 1.485 | 9.2 |
| 1.148 | 8.4 |
| 1.149 | 8.3 |
| 1.283 | 5.8 |
| 1.285 | 5.7 |
| 3.632 | 1.6 |
| 1.624 | 0.8 |

Crystal structure
a b c (Å): 8.910 8.910 8.910
angles (deg): 33.48 33.48 33.48
Atoms (fractional coordinates):
Tb 0.000 0.000 0.000
Tb 0.250 0.250 0.250
Tb 0.750 0.750 0.750
Sm 0.500 0.500 0.500
Au 0.123 0.123 0.123
Au 0.373 0.373 0.373
Au 0.627 0.627 0.627
Au 0.877 0.877 0.877

***

No. 6
The following is a computed X-ray diffraction stick pattern of HoPd3Au2. It was derived from a structure optimized by DFT (GGA-PBE), using Cu Kα.

Principal peaks in the range 2θ from 10° to 90°, by intensity:
| d [Å] | I (rel.) |
| --- | --- |
| 2.384 | 100.0 |
| 2.113 | 17.5 |
| 2.095 | 17.1 |
| 1.992 | 14.8 |
| 1.266 | 13.4 |
| 1.258 | 13.2 |
| 1.213 | 11.8 |
| 1.488 | 11.4 |
| 1.192 | 11.2 |
| 1.450 | 10.5 |

Crystal structure
a b c (Å): 4.190 12.679 3.984
angles (deg): 90.00 90.00 90.00
Atoms (fractional coordinates):
Ho 0.000 0.000 0.000
Ho 0.500 0.500 0.000
Pd 0.000 0.169 0.500
Pd 0.000 0.500 0.500
Pd 0.000 0.831 0.500
Pd 0.500 0.000 0.500
Pd 0.500 0.331 0.500
Pd 0.500 0.669 0.500
Au 0.000 0.334 0.000
Au 0.000 0.666 0.000
Au 0.500 0.166 0.000
Au 0.500 0.834 0.000

***

What did the first record say?
The following is a computed X-ray diffraction stick pattern of Ta3Nb3Ru. It was derived from a structure optimized by DFT (GGA-PBE), using Cu Kα.

Principal peaks in the range 2θ from 10° to 90°, by intensity:
| d [Å] | I (rel.) |
| --- | --- |
| 2.291 | 100.0 |
| 2.331 | 30.4 |
| 6.862 | 25.2 |
| 1.338 | 17.4 |
| 2.050 | 12.6 |
| 2.809 | 11.9 |
| 2.680 | 11.6 |
| 1.539 | 10.8 |
| 1.716 | 10.0 |
| 1.382 | 9.7 |

Crystal structure
a b c (Å): 7.993 7.993 4.661
angles (deg): 90.00 90.00 118.30
Atoms (fractional coordinates):
Ta 0.053 0.947 0.750
Ta 0.228 0.358 0.750
Ta 0.358 0.228 0.250
Ta 0.642 0.772 0.750
Ta 0.772 0.642 0.250
Ta 0.947 0.053 0.250
Nb 0.047 0.423 0.250
Nb 0.188 0.812 0.250
Nb 0.423 0.047 0.750
Nb 0.577 0.953 0.250
Nb 0.812 0.188 0.750
Nb 0.953 0.577 0.750
Ru 0.416 0.584 0.250
Ru 0.584 0.416 0.750